No. 1
For SrMg14CrO16, a cell relaxed with PBE+U gives the simulated X-ray diffraction stick pattern in this record (Cu Kα (weighted mean of Kα1 and Kα2)).
Lines closer than 0.1° are merged.

Main lines, sorted by position (10° ≤ 2θ ≤ 80°):
2θ/deg, I_rel
14.51, 15
20.58, 10
24.72, 11
28.78, 9
35.65, 32
38.67, 8
40.44, 57
41.86, 100
59.61, 61
60.70, 28
72.41, 13
75.49, 27

Crystal structure
```
data_SrMg14CrO16
_chemical_formula_sum 'Sr1 Mg14 Cr1 O16'
_space_group_name_H-M_alt 'P 1'
_space_group_IT_number 1
_cell_length_a 8.6314
_cell_length_b 8.6314
_cell_length_c 4.4614
_cell_angle_alpha 90.00
_cell_angle_beta 90.00
_cell_angle_gamma 90.00
loop_
_space_group_symop_operation_xyz
'x,y,z'
loop_
_atom_site_label
_atom_site_type_symbol
_atom_site_fract_x
_atom_site_fract_y
_atom_site_fract_z
_atom_site_occupancy
Sr1 Sr 0.0000 0.0000 0.0000 1
Mg1 Mg 0.0000 0.2594 0.5000 1
Mg2 Mg 0.0000 0.5000 0.0000 1
Mg3 Mg 0.0000 0.7406 0.5000 1
Mg4 Mg 0.2521 0.5000 0.5000 1
Mg5 Mg 0.2549 0.2549 0.0000 1
Mg6 Mg 0.2549 0.7451 0.0000 1
Mg7 Mg 0.2594 0.0000 0.5000 1
Mg8 Mg 0.5000 0.0000 0.0000 1
Mg9 Mg 0.5000 0.2521 0.5000 1
Mg10 Mg 0.5000 0.7479 0.5000 1
Mg11 Mg 0.7406 0.0000 0.5000 1
Mg12 Mg 0.7451 0.2549 0.0000 1
Mg13 Mg 0.7451 0.7451 0.0000 1
Mg14 Mg 0.7479 0.5000 0.5000 1
Cr1 Cr 0.5000 0.5000 0.0000 1
O1 O 0.0000 0.0000 0.5000 1
O2 O 0.0000 0.2715 0.0000 1
O3 O 0.0000 0.5000 0.5000 1
O4 O 0.0000 0.7285 0.0000 1
O5 O 0.2502 0.2502 0.5000 1
O6 O 0.2502 0.7498 0.5000 1
O7 O 0.2507 0.5000 0.0000 1
O8 O 0.2715 0.0000 0.0000 1
O9 O 0.5000 0.0000 0.5000 1
O10 O 0.5000 0.2507 0.0000 1
O11 O 0.5000 0.5000 0.5000 1
O12 O 0.5000 0.7493 0.0000 1
O13 O 0.7285 0.0000 0.0000 1
O14 O 0.7493 0.5000 0.0000 1
O15 O 0.7498 0.2502 0.5000 1
O16 O 0.7498 0.7498 0.5000 1
```

No. 2
For Sr2YMgCrO6, a cell relaxed with PBE+U gives the simulated X-ray diffraction stick pattern in this record (Cu Kα (weighted mean of Kα1 and Kα2)).
Lines closer than 0.1° are merged.

Main lines, sorted by position (10° ≤ 2θ ≤ 80°):
2θ/deg, I_rel
17.90, 19
28.98, 100
30.39, 52
30.56, 51
32.95, 67
39.14, 17
43.64, 73
45.05, 18
45.46, 53
53.13, 18
53.35, 18
77.35, 18

Crystal structure
```
data_Sr2YMgCrO6
_chemical_formula_sum 'Sr2 Y1 Mg1 Cr1 O6'
_space_group_name_H-M_alt 'P 1'
_space_group_IT_number 1
_cell_length_a 6.1964
_cell_length_b 6.1964
_cell_length_c 6.1964
_cell_angle_alpha 123.66
_cell_angle_beta 123.32
_cell_angle_gamma 84.05
loop_
_space_group_symop_operation_xyz
'x,y,z'
loop_
_atom_site_label
_atom_site_type_symbol
_atom_site_fract_x
_atom_site_fract_y
_atom_site_fract_z
_atom_site_occupancy
Sr1 Sr 0.1842 0.1842 0.0000 1
Sr2 Sr 0.8158 0.8158 0.0000 1
Y1 Y 0.0000 0.5000 0.5000 1
Mg1 Mg 0.5000 0.5000 0.0000 1
Cr1 Cr 0.5000 0.0000 0.5000 1
O1 O 0.2602 0.7602 0.5000 1
O2 O 0.2678 0.2440 0.5118 1
O3 O 0.2678 0.7560 0.0238 1
O4 O 0.7322 0.2440 0.9762 1
O5 O 0.7322 0.7560 0.4882 1
O6 O 0.7398 0.2398 0.5000 1
```

No. 3
For Sr2YMgCrO6, a cell relaxed with PBE+U gives the simulated X-ray diffraction stick pattern in this record (Cu Kα (weighted mean of Kα1 and Kα2)).
Lines closer than 0.1° are merged.

Main lines, sorted by position (10° ≤ 2θ ≤ 80°):
2θ/deg, I_rel
21.66, 28
28.93, 12
30.75, 100
32.06, 44
34.30, 14
41.26, 23
46.74, 18
47.83, 11
50.23, 14
54.01, 11
54.69, 18
64.07, 12

Crystal structure
```
data_Sr2YMgCrO6
_chemical_formula_sum 'Sr2 Y1 Mg1 Cr1 O6'
_space_group_name_H-M_alt 'P 1'
_space_group_IT_number 1
_cell_length_a 5.8127
_cell_length_b 5.8349
_cell_length_c 6.2481
_cell_angle_alpha 85.92
_cell_angle_beta 62.30
_cell_angle_gamma 60.17
loop_
_space_group_symop_operation_xyz
'x,y,z'
loop_
_atom_site_label
_atom_site_type_symbol
_atom_site_fract_x
_atom_site_fract_y
_atom_site_fract_z
_atom_site_occupancy
Sr1 Sr 0.0000 0.0000 0.0000 1
Sr2 Sr 0.1511 0.3937 0.3024 1
Y1 Y 0.6841 0.7042 0.9263 1
Mg1 Mg 0.3829 0.7634 0.4688 1
Cr1 Cr 0.6006 0.2420 0.5543 1
O1 O 0.0791 0.9861 0.3510 1
O2 O 0.1549 0.5601 0.6805 1
O3 O 0.5050 0.1152 0.8692 1
O4 O 0.5830 0.9851 0.3492 1
O5 O 0.6024 0.5599 0.6808 1
O6 O 0.6740 0.4403 0.2086 1
```

No. 4
For Mg4Cr5Te3O18, a cell relaxed with PBE+U gives the simulated X-ray diffraction stick pattern in this record (Cu Kα (weighted mean of Kα1 and Kα2)).
Lines closer than 0.1° are merged.

Main lines, sorted by position (10° ≤ 2θ ≤ 80°):
2θ/deg, I_rel
19.98, 29
20.43, 100
21.79, 25
28.14, 33
29.30, 45
34.21, 57
34.39, 62
34.48, 34
39.52, 24
47.26, 27
54.19, 40
61.09, 29

Crystal structure
```
data_Mg4Cr5Te3O18
_chemical_formula_sum 'Mg8 Cr10 Te6 O36'
_space_group_name_H-M_alt 'P 1'
_space_group_IT_number 1
_cell_length_a 8.7428
_cell_length_b 8.7428
_cell_length_c 10.4812
_cell_angle_alpha 94.83
_cell_angle_beta 94.83
_cell_angle_gamma 63.34
loop_
_space_group_symop_operation_xyz
'x,y,z'
loop_
_atom_site_label
_atom_site_type_symbol
_atom_site_fract_x
_atom_site_fract_y
_atom_site_fract_z
_atom_site_occupancy
Mg1 Mg 0.1325 0.8227 0.9708 1
Mg2 Mg 0.1534 0.4391 0.0680 1
Mg3 Mg 0.1773 0.8675 0.5292 1
Mg4 Mg 0.4391 0.1534 0.5680 1
Mg5 Mg 0.5609 0.8466 0.4320 1
Mg6 Mg 0.8227 0.1325 0.4708 1
Mg7 Mg 0.8466 0.5609 0.9320 1
Mg8 Mg 0.8675 0.1773 0.0292 1
Cr1 Cr 0.0213 0.6474 0.4582 1
Cr2 Cr 0.1802 0.5083 0.7313 1
Cr3 Cr 0.3314 0.6686 0.2500 1
Cr4 Cr 0.3526 0.9788 0.0418 1
Cr5 Cr 0.4917 0.8198 0.7687 1
Cr6 Cr 0.5083 0.1802 0.2313 1
Cr7 Cr 0.6474 0.0213 0.9582 1
Cr8 Cr 0.6686 0.3314 0.7500 1
Cr9 Cr 0.8198 0.4917 0.2687 1
Cr10 Cr 0.9788 0.3526 0.5418 1
Te1 Te 0.1457 0.1613 0.7910 1
Te2 Te 0.1613 0.1457 0.2910 1
Te3 Te 0.5000 0.5000 0.0000 1
Te4 Te 0.5000 0.5000 0.5000 1
Te5 Te 0.8387 0.8543 0.7090 1
Te6 Te 0.8543 0.8387 0.2090 1
O1 O 0.0428 0.4188 0.3816 1
O2 O 0.0618 0.1092 0.4574 1
O3 O 0.0672 0.7489 0.8023 1
O4 O 0.0887 0.4440 0.8798 1
O5 O 0.0935 0.7445 0.3186 1
O6 O 0.1092 0.0618 0.9574 1
O7 O 0.2149 0.2821 0.6385 1
O8 O 0.2463 0.5907 0.5650 1
O9 O 0.2511 0.9328 0.6977 1
O10 O 0.2555 0.9065 0.1814 1
O11 O 0.2574 0.6012 0.0768 1
O12 O 0.2821 0.2149 0.1385 1
O13 O 0.3988 0.7426 0.4232 1
O14 O 0.4093 0.7537 0.9350 1
O15 O 0.4188 0.0428 0.8816 1
O16 O 0.4204 0.4297 0.3206 1
O17 O 0.4297 0.4204 0.8206 1
O18 O 0.4440 0.0887 0.3798 1
O19 O 0.5560 0.9113 0.6202 1
O20 O 0.5703 0.5796 0.1794 1
O21 O 0.5796 0.5703 0.6794 1
O22 O 0.5812 0.9573 0.1184 1
O23 O 0.5907 0.2463 0.0650 1
O24 O 0.6012 0.2574 0.5768 1
O25 O 0.7179 0.7851 0.8615 1
O26 O 0.7426 0.3988 0.9232 1
O27 O 0.7445 0.0935 0.8186 1
O28 O 0.7489 0.0672 0.3023 1
O29 O 0.7537 0.4093 0.4350 1
O30 O 0.7851 0.7179 0.3615 1
O31 O 0.8908 0.9382 0.0426 1
O32 O 0.9065 0.2555 0.6814 1
O33 O 0.9113 0.5560 0.1202 1
O34 O 0.9328 0.2511 0.1977 1
O35 O 0.9382 0.8908 0.5426 1
O36 O 0.9572 0.5812 0.6184 1
```

No. 5
For MgCrTeW2O12, a cell relaxed with PBE+U gives the simulated X-ray diffraction stick pattern in this record (Cu Kα (weighted mean of Kα1 and Kα2)).
Lines closer than 0.1° are merged.

Main lines, sorted by position (10° ≤ 2θ ≤ 80°):
2θ/deg, I_rel
20.81, 13
23.76, 50
23.89, 100
33.35, 36
33.42, 19
34.42, 14
34.62, 27
42.34, 12
48.90, 20
54.21, 19
54.31, 12
61.21, 10

Crystal structure
```
data_MgCrTeW2O12
_chemical_formula_sum 'Mg1 Cr1 Te1 W2 O12'
_space_group_name_H-M_alt 'P 1'
_space_group_IT_number 1
_cell_length_a 5.1754
_cell_length_b 5.3731
_cell_length_c 7.4995
_cell_angle_alpha 92.68
_cell_angle_beta 90.29
_cell_angle_gamma 90.07
loop_
_space_group_symop_operation_xyz
'x,y,z'
loop_
_atom_site_label
_atom_site_type_symbol
_atom_site_fract_x
_atom_site_fract_y
_atom_site_fract_z
_atom_site_occupancy
Mg1 Mg 0.0000 0.0000 0.0000 1
Cr1 Cr 0.5118 0.0453 0.7494 1
Te1 Te 0.0048 0.5605 0.2465 1
W1 W 0.0169 0.5438 0.7358 1
W2 W 0.5107 0.0655 0.2588 1
O1 O 0.1243 0.5501 0.4875 1
O2 O 0.1855 0.2516 0.1775 1
O3 O 0.2066 0.8628 0.7967 1
O4 O 0.2914 0.3476 0.7955 1
O5 O 0.2968 0.7733 0.1859 1
O6 O 0.4218 0.0602 0.4926 1
O7 O 0.6189 0.0657 0.0076 1
O8 O 0.6964 0.3790 0.3033 1
O9 O 0.7226 0.7809 0.7051 1
O10 O 0.7895 0.2792 0.7138 1
O11 O 0.8217 0.8732 0.2973 1
O12 O 0.9050 0.6020 0.0015 1
```

No. 6
For MgCrTeW2O12, a cell relaxed with PBE+U gives the simulated X-ray diffraction stick pattern in this record (Cu Kα (weighted mean of Kα1 and Kα2)).
Lines closer than 0.1° are merged.

Main lines, sorted by position (10° ≤ 2θ ≤ 80°):
2θ/deg, I_rel
20.73, 16
23.69, 49
23.83, 100
33.37, 53
34.27, 14
34.38, 14
34.54, 13
48.48, 9
48.78, 19
54.19, 19
55.46, 9
55.79, 8

Crystal structure
```
data_MgCrTeW2O12
_chemical_formula_sum 'Mg1 Cr1 Te1 W2 O12'
_space_group_name_H-M_alt 'P 1'
_space_group_IT_number 1
_cell_length_a 5.1934
_cell_length_b 5.3764
_cell_length_c 7.5162
_cell_angle_alpha 92.24
_cell_angle_beta 90.23
_cell_angle_gamma 90.03
loop_
_space_group_symop_operation_xyz
'x,y,z'
loop_
_atom_site_label
_atom_site_type_symbol
_atom_site_fract_x
_atom_site_fract_y
_atom_site_fract_z
_atom_site_occupancy
Mg1 Mg 0.0000 0.0000 0.0000 1
Cr1 Cr 0.9872 0.5802 0.7363 1
Te1 Te 0.5064 0.0887 0.2349 1
W1 W 0.0133 0.5816 0.2444 1
W2 W 0.4920 0.0858 0.7199 1
O1 O 0.0845 0.6115 0.9932 1
O2 O 0.1962 0.9038 0.2825 1
O3 O 0.2258 0.3149 0.6949 1
O4 O 0.2792 0.8133 0.6938 1
O5 O 0.3206 0.3953 0.2891 1
O6 O 0.3771 0.0999 0.9924 1
O7 O 0.6167 0.0848 0.4770 1
O8 O 0.7152 0.8041 0.1689 1
O9 O 0.7258 0.3734 0.7821 1
O10 O 0.7937 0.8950 0.7874 1
O11 O 0.8174 0.2742 0.1653 1
O12 O 0.9058 0.5810 0.4751 1
```

No. 7
For MgCrTeW2O12, a cell relaxed with PBE+U gives the simulated X-ray diffraction stick pattern in this record (Cu Kα (weighted mean of Kα1 and Kα2)).
Lines closer than 0.1° are merged.

Main lines, sorted by position (10° ≤ 2θ ≤ 80°):
2θ/deg, I_rel
19.83, 7
20.87, 13
23.85, 100
33.32, 35
34.59, 18
34.70, 9
40.30, 6
42.43, 8
48.79, 12
54.10, 17
54.23, 8
61.14, 7

Crystal structure
```
data_MgCrTeW2O12
_chemical_formula_sum 'Mg1 Cr1 Te1 W2 O12'
_space_group_name_H-M_alt 'P 1'
_space_group_IT_number 1
_cell_length_a 5.1701
_cell_length_b 5.3885
_cell_length_c 7.4819
_cell_angle_alpha 87.03
_cell_angle_beta 89.81
_cell_angle_gamma 89.94
loop_
_space_group_symop_operation_xyz
'x,y,z'
loop_
_atom_site_label
_atom_site_type_symbol
_atom_site_fract_x
_atom_site_fract_y
_atom_site_fract_z
_atom_site_occupancy
Mg1 Mg 0.0000 0.0000 0.0000 1
Cr1 Cr 0.0080 0.4244 0.1966 1
Te1 Te 0.4995 0.9029 0.7027 1
W1 W 0.0015 0.4121 0.6862 1
W2 W 0.5063 0.9125 0.2128 1
O1 O 0.0819 0.3857 0.9422 1
O2 O 0.2022 0.7054 0.6409 1
O3 O 0.2054 0.1071 0.2324 1
O4 O 0.2922 0.6137 0.2397 1
O5 O 0.3025 0.1991 0.6438 1
O6 O 0.3712 0.9006 0.9445 1
O7 O 0.6107 0.9038 0.4562 1
O8 O 0.6975 0.6034 0.7517 1
O9 O 0.7148 0.1935 0.1497 1
O10 O 0.8029 0.7212 0.1355 1
O11 O 0.8065 0.0878 0.7635 1
O12 O 0.9066 0.4062 0.4481 1
```

No. 8
For Mg6TiCrO8, a cell relaxed with PBE+U gives the simulated X-ray diffraction stick pattern in this record (Cu Kα (weighted mean of Kα1 and Kα2)).
Lines closer than 0.1° are merged.

Main lines, sorted by position (10° ≤ 2θ ≤ 80°):
2θ/deg, I_rel
19.95, 7
20.88, 12
29.04, 11
29.70, 5
36.04, 34
40.54, 58
42.50, 100
60.19, 60
61.67, 28
70.83, 6
73.55, 11
76.44, 26

Crystal structure
```
data_Mg6TiCrO8
_chemical_formula_sum 'Mg6 Ti1 Cr1 O8'
_space_group_name_H-M_alt 'P 1'
_space_group_IT_number 1
_cell_length_a 4.2539
_cell_length_b 4.2539
_cell_length_c 8.9000
_cell_angle_alpha 90.00
_cell_angle_beta 90.00
_cell_angle_gamma 90.00
loop_
_space_group_symop_operation_xyz
'x,y,z'
loop_
_atom_site_label
_atom_site_type_symbol
_atom_site_fract_x
_atom_site_fract_y
_atom_site_fract_z
_atom_site_occupancy
Mg1 Mg 0.0000 0.0000 0.0000 1
Mg2 Mg 0.0000 0.0000 0.5000 1
Mg3 Mg 0.0000 0.5000 0.2479 1
Mg4 Mg 0.0000 0.5000 0.7521 1
Mg5 Mg 0.5000 0.0000 0.2479 1
Mg6 Mg 0.5000 0.0000 0.7521 1
Ti1 Ti 0.5000 0.5000 0.5000 1
Cr1 Cr 0.5000 0.5000 0.0000 1
O1 O 0.0000 0.0000 0.2508 1
O2 O 0.0000 0.0000 0.7492 1
O3 O 0.0000 0.5000 0.0000 1
O4 O 0.0000 0.5000 0.5000 1
O5 O 0.5000 0.0000 0.0000 1
O6 O 0.5000 0.0000 0.5000 1
O7 O 0.5000 0.5000 0.2644 1
O8 O 0.5000 0.5000 0.7356 1
```

No. 9
For Mg6TiCrO8, a cell relaxed with PBE+U gives the simulated X-ray diffraction stick pattern in this record (Cu Kα (weighted mean of Kα1 and Kα2)).
Lines closer than 0.1° are merged.

Main lines, sorted by position (10° ≤ 2θ ≤ 80°):
2θ/deg, I_rel
10.01, 22
20.10, 7
30.35, 5
31.43, 8
36.14, 34
40.86, 56
42.52, 100
60.43, 59
61.70, 28
71.32, 6
73.64, 11
76.68, 26

Crystal structure
```
data_Mg6TiCrO8
_chemical_formula_sum 'Mg6 Ti1 Cr1 O8'
_space_group_name_H-M_alt 'P 1'
_space_group_IT_number 1
_cell_length_a 4.2523
_cell_length_b 4.2523
_cell_length_c 8.8350
_cell_angle_alpha 90.00
_cell_angle_beta 90.00
_cell_angle_gamma 90.00
loop_
_space_group_symop_operation_xyz
'x,y,z'
loop_
_atom_site_label
_atom_site_type_symbol
_atom_site_fract_x
_atom_site_fract_y
_atom_site_fract_z
_atom_site_occupancy
Mg1 Mg 0.0000 0.0000 0.0000 1
Mg2 Mg 0.0000 0.5000 0.2436 1
Mg3 Mg 0.0000 0.5000 0.7564 1
Mg4 Mg 0.5000 0.0000 0.2436 1
Mg5 Mg 0.5000 0.0000 0.7564 1
Mg6 Mg 0.5000 0.5000 0.0000 1
Ti1 Ti 0.0000 0.0000 0.5000 1
Cr1 Cr 0.5000 0.5000 0.5000 1
O1 O 0.0000 0.0000 0.2465 1
O2 O 0.0000 0.0000 0.7535 1
O3 O 0.0000 0.5000 0.0000 1
O4 O 0.0000 0.5000 0.5000 1
O5 O 0.5000 0.0000 0.0000 1
O6 O 0.5000 0.0000 0.5000 1
O7 O 0.5000 0.5000 0.2354 1
O8 O 0.5000 0.5000 0.7646 1
```

No. 10
For MgTiCrO4, a cell relaxed with PBE+U gives the simulated X-ray diffraction stick pattern in this record (Cu Kα (weighted mean of Kα1 and Kα2)).
Lines closer than 0.1° are merged.

Main lines, sorted by position (10° ≤ 2θ ≤ 80°):
2θ/deg, I_rel
23.60, 95
23.81, 100
36.96, 62
42.10, 93
43.11, 91
43.60, 87
49.84, 22
50.17, 20
61.83, 49
62.22, 48
62.99, 48
78.69, 43

Crystal structure
```
data_MgTiCrO4
_chemical_formula_sum 'Mg1 Ti1 Cr1 O4'
_space_group_name_H-M_alt 'P 1'
_space_group_IT_number 1
_cell_length_a 5.2096
_cell_length_b 5.2096
_cell_length_c 5.2096
_cell_angle_alpha 133.04
_cell_angle_beta 132.50
_cell_angle_gamma 69.02
loop_
_space_group_symop_operation_xyz
'x,y,z'
loop_
_atom_site_label
_atom_site_type_symbol
_atom_site_fract_x
_atom_site_fract_y
_atom_site_fract_z
_atom_site_occupancy
Mg1 Mg 0.0000 0.0000 0.0000 1
Ti1 Ti 0.7469 0.2469 0.5000 1
Cr1 Cr 0.4944 0.4944 0.0000 1
O1 O 0.2498 0.2498 0.0000 1
O2 O 0.5190 0.0190 0.5000 1
O3 O 0.7416 0.7416 0.0000 1
O4 O 0.9738 0.4738 0.5000 1
```

No. 11
For MgTiCrO4, a cell relaxed with PBE+U gives the simulated X-ray diffraction stick pattern in this record (Cu Kα (weighted mean of Kα1 and Kα2)).
Lines closer than 0.1° are merged.

Main lines, sorted by position (10° ≤ 2θ ≤ 80°):
2θ/deg, I_rel
23.57, 97
23.74, 100
37.09, 58
42.70, 89
43.10, 87
43.47, 81
49.44, 23
49.71, 22
62.29, 48
62.57, 45
62.88, 45
79.00, 41

Crystal structure
```
data_MgTiCrO4
_chemical_formula_sum 'Mg1 Ti1 Cr1 O4'
_space_group_name_H-M_alt 'P 1'
_space_group_IT_number 1
_cell_length_a 5.1212
_cell_length_b 5.1212
_cell_length_c 5.1212
_cell_angle_alpha 131.61
_cell_angle_beta 131.16
_cell_angle_gamma 71.20
loop_
_space_group_symop_operation_xyz
'x,y,z'
loop_
_atom_site_label
_atom_site_type_symbol
_atom_site_fract_x
_atom_site_fract_y
_atom_site_fract_z
_atom_site_occupancy
Mg1 Mg 0.0000 0.0000 0.0000 1
Ti1 Ti 0.5039 0.5039 0.0000 1
Cr1 Cr 0.2528 0.7528 0.5000 1
O1 O 0.0135 0.5135 0.5000 1
O2 O 0.2694 0.2694 0.0000 1
O3 O 0.4922 0.9922 0.5000 1
O4 O 0.7372 0.7372 0.0000 1
```